Ca2Ac2Pr3: computed powder diffraction line list (Cu Ka), based on a structure optimized by DFT (PBE).

Structural model:
Lattice parameters (Å, degrees): 5.7285 26.1057 3.7430 90.00 90.00 90.00
Element x y z (fractional)
1 Ca 0.0000 0.2118 0.0000
2 Ca 0.0000 0.7882 0.0000
3 Ca 0.5000 0.2882 0.0000
4 Ca 0.5000 0.7118 0.0000
5 Ac 0.0000 0.3593 0.5000
6 Ac 0.0000 0.6407 0.5000
7 Ac 0.5000 0.1407 0.5000
8 Ac 0.5000 0.8593 0.5000
9 Pr 0.0000 0.0685 0.0000
10 Pr 0.0000 0.5000 0.5000
11 Pr 0.0000 0.9315 0.0000
12 Pr 0.5000 0.0000 0.5000
13 Pr 0.5000 0.4315 0.0000
14 Pr 0.5000 0.5685 0.0000

Largest 12 diffraction maxima, sorted by position, 15 to 90 degrees two-theta:
18.54°, intensity 20, (1 3 0); 28.56°, intensity 93, (1 7 0); 28.69°, intensity 100, (1 1 1); 31.23°, intensity 37, (2 0 0); 31.53°, intensity 33, (0 6 1); 36.53°, intensity 31, (0 8 1); 44.97°, intensity 25, (2 6 1); 48.81°, intensity 39, (0 14 0); 53.99°, intensity 33, (3 7 0); 57.39°, intensity 26, (1 7 2); 60.88°, intensity 18, (1 15 1); 78.61°, intensity 13, (3 15 1)